Structure and simulated powder X-ray diffraction pattern of Y2Al9Ir3 (a structure optimized by DFT (GGA-PBE); copper Kα).

Structure:
a = 7.577 Å, b = 7.577 Å, c = 10.466 Å
α = 111.27°, β = 111.27°, γ = 59.75°
Atoms (fractional coordinates):
Y 0.086 0.252 0.250
Y 0.252 0.086 0.750
Y 0.748 0.914 0.250
Y 0.914 0.748 0.750
Al 0.025 0.857 0.074
Al 0.143 0.975 0.426
Al 0.192 0.358 0.571
Al 0.212 0.581 0.252
Al 0.315 0.483 0.946
Al 0.358 0.192 0.071
Al 0.371 0.629 0.750
Al 0.419 0.788 0.248
Al 0.483 0.315 0.446
Al 0.517 0.685 0.554
Al 0.581 0.212 0.752
Al 0.629 0.371 0.250
Al 0.642 0.808 0.929
Al 0.685 0.517 0.054
Al 0.788 0.419 0.748
Al 0.808 0.642 0.429
Al 0.857 0.025 0.574
Al 0.975 0.143 0.926
Ir 0.000 0.500 0.000
Ir 0.156 0.672 0.499
Ir 0.328 0.844 0.001
Ir 0.500 0.000 0.500
Ir 0.672 0.156 0.999
Ir 0.844 0.328 0.501

Main lines, in order of rising 2θ (2θ = 15–90°):
- 4.753 Å, 18.7°, intensity 28
- 3.784 Å, 23.5°, intensity 54
- 2.960 Å, 30.2°, intensity 100
- 2.376 Å, 37.9°, intensity 19
- 2.182 Å, 41.4°, intensity 36
- 2.012 Å, 45.0°, intensity 29

Structure and simulated powder X-ray diffraction pattern of Y2AlAu4 (a structure optimized by DFT (GGA-PBE); copper Kα).

Structure:
a = 4.557 Å, b = 4.557 Å, c = 8.920 Å
α = 105.32°, β = 105.32°, γ = 59.24°
Atoms (fractional coordinates):
Y 0.071 0.071 0.224
Y 0.929 0.929 0.776
Al 0.500 0.500 0.500
Au 0.198 0.198 0.590
Au 0.316 0.316 0.945
Au 0.684 0.684 0.055
Au 0.802 0.802 0.410

Main lines, in order of rising 2θ (2θ = 15–90°):
- 3.774 Å, 23.6°, intensity 25
- 3.748 Å, 23.7°, intensity 52
- 2.476 Å, 36.3°, intensity 100
- 2.278 Å, 39.6°, intensity 70
- 2.253 Å, 40.0°, intensity 34
- 2.133 Å, 42.4°, intensity 23

Structure and simulated powder X-ray diffraction pattern of Sm3In2Rh3 (a structure optimized by DFT (GGA-PBE); copper Kα).

Structure:
a = 8.302 Å, b = 8.302 Å, c = 5.990 Å
α = 90.00°, β = 90.00°, γ = 120.00°
Atoms (fractional coordinates):
Sm 0.000 0.271 0.250
Sm 0.000 0.729 0.750
Sm 0.271 0.000 0.250
Sm 0.271 0.271 0.750
Sm 0.729 0.000 0.750
Sm 0.729 0.729 0.250
In 0.333 0.667 0.000
In 0.333 0.667 0.500
In 0.667 0.333 0.000
In 0.667 0.333 0.500
Rh 0.000 0.395 0.750
Rh 0.000 0.605 0.250
Rh 0.395 0.000 0.750
Rh 0.395 0.395 0.250
Rh 0.605 0.000 0.250
Rh 0.605 0.605 0.750

Main lines, in order of rising 2θ (2θ = 15–90°):
- 2.995 Å, 29.8°, intensity 27
- 2.717 Å, 33.0°, intensity 25
- 2.475 Å, 36.3°, intensity 98
- 2.429 Å, 37.0°, intensity 100
- 2.397 Å, 37.5°, intensity 74
- 1.609 Å, 57.3°, intensity 26